# 1
Starting from a DFT-relaxed cell (GGA-PBE, Alexandria), the X-ray diffraction stick pattern of Ti9Se2 was calculated for a wavelength of 1.5418 Å.

Most intense lines, 2θ from 5° to 70°, by intensity:
38.83 deg, I 100
37.23 deg, I 92
41.27 deg, I 67
43.01 deg, I 32
41.43 deg, I 31
52.76 deg, I 30
43.53 deg, I 21
41.04 deg, I 20
21.61 deg, I 15
37.44 deg, I 14

Atomic structure:
Cell lengths 6.815, 15.476, 3.470 Å; angles 90.00, 90.00, 90.00 degrees
Fractional coordinates of all 22 atoms:
Ti  0.000  0.000  0.000
Ti  0.095  0.140  0.500
Ti  0.111  0.577  0.000
Ti  0.221  0.443  0.500
Ti  0.222  0.790  0.000
Ti  0.278  0.290  0.000
Ti  0.279  0.943  0.500
Ti  0.389  0.077  0.000
Ti  0.405  0.640  0.500
Ti  0.500  0.500  0.000
Ti  0.595  0.360  0.500
Ti  0.611  0.923  0.000
Ti  0.721  0.057  0.500
Ti  0.722  0.710  0.000
Ti  0.778  0.210  0.000
Ti  0.779  0.557  0.500
Ti  0.889  0.423  0.000
Ti  0.905  0.860  0.500
Se  0.020  0.697  0.500
Se  0.480  0.197  0.500
Se  0.520  0.803  0.500
Se  0.980  0.303  0.500

# 2
Starting from a DFT-relaxed cell (GGA-PBE, Alexandria), the X-ray diffraction stick pattern of Ti19Se20 was calculated for a wavelength of 1.5418 Å.

Most intense lines, 2θ from 5° to 70°, by intensity:
32.59 deg, I 100
40.45 deg, I 98
32.46 deg, I 52
52.27 deg, I 35
51.34 deg, I 31
52.55 deg, I 20
40.29 deg, I 18
63.14 deg, I 15
55.64 deg, I 15
68.27 deg, I 14

Atomic structure:
Cell lengths 6.966, 9.637, 11.372 Å; angles 80.66, 81.17, 68.82 degrees
Fractional coordinates of all 39 atoms:
Ti  0.000  0.000  0.000
Ti  0.000  0.500  0.000
Ti  0.087  0.222  0.210
Ti  0.090  0.711  0.213
Ti  0.211  0.379  0.384
Ti  0.215  0.882  0.383
Ti  0.281  0.621  0.616
Ti  0.289  0.117  0.617
Ti  0.408  0.288  0.786
Ti  0.409  0.784  0.797
Ti  0.500  0.000  0.000
Ti  0.591  0.216  0.203
Ti  0.592  0.712  0.214
Ti  0.711  0.883  0.383
Ti  0.719  0.379  0.384
Ti  0.785  0.118  0.617
Ti  0.789  0.621  0.616
Ti  0.910  0.289  0.787
Ti  0.913  0.778  0.790
Se  0.053  0.007  0.770
Se  0.056  0.167  0.440
Se  0.144  0.398  0.625
Se  0.151  0.217  0.964
Se  0.253  0.429  0.158
Se  0.262  0.570  0.842
Se  0.350  0.783  0.035
Se  0.355  0.601  0.376
Se  0.444  0.830  0.562
Se  0.445  0.994  0.229
Se  0.555  0.006  0.771
Se  0.556  0.170  0.438
Se  0.645  0.399  0.624
Se  0.650  0.217  0.965
Se  0.738  0.430  0.158
Se  0.747  0.571  0.842
Se  0.849  0.783  0.036
Se  0.856  0.602  0.375
Se  0.944  0.833  0.560
Se  0.947  0.993  0.230

# 3
Starting from a DFT-relaxed cell (GGA-PBE, Alexandria), the X-ray diffraction stick pattern of TiTl4Se4 was calculated for a wavelength of 1.5418 Å.

Most intense lines, 2θ from 5° to 70°, by intensity:
22.46 deg, I 100
26.65 deg, I 83
23.14 deg, I 83
28.59 deg, I 80
32.87 deg, I 79
30.44 deg, I 54
32.61 deg, I 47
23.50 deg, I 47
25.43 deg, I 47
33.56 deg, I 42

Atomic structure:
Cell lengths 8.719, 8.640, 16.390 Å; angles 90.00, 104.99, 90.00 degrees
Fractional coordinates of all 36 atoms:
Ti  0.207  0.110  0.377
Ti  0.207  0.390  0.877
Ti  0.793  0.610  0.123
Ti  0.793  0.890  0.623
Tl  0.034  0.507  0.637
Tl  0.034  0.993  0.137
Tl  0.180  0.108  0.618
Tl  0.180  0.392  0.118
Tl  0.392  0.718  0.362
Tl  0.392  0.782  0.862
Tl  0.411  0.681  0.611
Tl  0.411  0.819  0.111
Tl  0.589  0.181  0.889
Tl  0.589  0.319  0.389
Tl  0.608  0.218  0.138
Tl  0.608  0.282  0.638
Tl  0.820  0.608  0.882
Tl  0.820  0.892  0.382
Tl  0.966  0.007  0.863
Tl  0.966  0.493  0.363
Se  0.055  0.662  0.212
Se  0.055  0.838  0.712
Se  0.186  0.613  0.962
Se  0.186  0.887  0.462
Se  0.295  0.166  0.962
Se  0.295  0.334  0.462
Se  0.388  0.054  0.292
Se  0.388  0.446  0.792
Se  0.612  0.554  0.208
Se  0.612  0.946  0.708
Se  0.705  0.666  0.538
Se  0.705  0.834  0.038
Se  0.814  0.113  0.538
Se  0.814  0.387  0.038
Se  0.945  0.162  0.288
Se  0.945  0.338  0.788

# 4
Starting from a DFT-relaxed cell (GGA-PBE, Alexandria), the X-ray diffraction stick pattern of TiTl7Se6 was calculated for a wavelength of 1.5418 Å.

Most intense lines, 2θ from 5° to 70°, by intensity:
24.09 deg, I 100
28.97 deg, I 66
27.79 deg, I 43
30.73 deg, I 33
40.40 deg, I 30
30.22 deg, I 24
36.13 deg, I 23
33.02 deg, I 23
22.23 deg, I 23
44.29 deg, I 21

Atomic structure:
Cell lengths 11.814, 11.814, 11.814 Å; angles 140.42, 109.65, 83.85 degrees
Fractional coordinates of all 28 atoms:
Ti  0.250  0.250  0.000
Ti  0.750  0.750  0.000
Tl  0.028  0.751  0.779
Tl  0.083  0.066  0.383
Tl  0.183  0.566  0.983
Tl  0.250  0.750  0.500
Tl  0.317  0.300  0.383
Tl  0.417  0.800  0.983
Tl  0.472  0.251  0.723
Tl  0.528  0.749  0.277
Tl  0.583  0.200  0.017
Tl  0.683  0.700  0.617
Tl  0.750  0.250  0.500
Tl  0.817  0.434  0.017
Tl  0.917  0.934  0.617
Tl  0.972  0.249  0.221
Se  0.076  0.357  0.089
Se  0.177  0.481  0.658
Se  0.232  0.143  0.719
Se  0.268  0.987  0.911
Se  0.323  0.981  0.304
Se  0.424  0.513  0.281
Se  0.576  0.487  0.719
Se  0.677  0.019  0.696
Se  0.732  0.013  0.089
Se  0.768  0.857  0.281
Se  0.823  0.519  0.342
Se  0.924  0.643  0.911

# 5
Starting from a DFT-relaxed cell (GGA-PBE, Alexandria), the X-ray diffraction stick pattern of Tm2TiSe4 was calculated for a wavelength of 1.5418 Å.

Most intense lines, 2θ from 5° to 70°, by intensity:
29.55 deg, I 100
14.20 deg, I 59
29.26 deg, I 53
38.82 deg, I 52
39.14 deg, I 47
44.84 deg, I 46
46.09 deg, I 23
25.90 deg, I 23
38.17 deg, I 21
55.53 deg, I 18

Atomic structure:
Cell lengths 7.385, 7.385, 7.067 Å; angles 117.66, 117.66, 30.93 degrees
Fractional coordinates of all 7 atoms:
Tm  0.234  0.234  0.221
Tm  0.766  0.766  0.779
Ti  0.500  0.500  0.500
Se  0.126  0.126  0.475
Se  0.387  0.387  0.073
Se  0.613  0.613  0.927
Se  0.874  0.874  0.525

# 6
Starting from a DFT-relaxed cell (GGA-PBE, Alexandria), the X-ray diffraction stick pattern of U8TiSe17 was calculated for a wavelength of 1.5418 Å.

Most intense lines, 2θ from 5° to 70°, by intensity:
24.05 deg, I 100
33.67 deg, I 99
36.49 deg, I 75
38.76 deg, I 72
24.62 deg, I 70
40.92 deg, I 64
33.92 deg, I 64
37.07 deg, I 62
33.06 deg, I 61
35.60 deg, I 57

Atomic structure:
Cell lengths 8.217, 8.217, 10.857 Å; angles 99.33, 99.33, 64.93 degrees
Fractional coordinates of all 26 atoms:
U  0.181  0.699  0.799
U  0.203  0.203  0.960
U  0.301  0.819  0.201
U  0.318  0.318  0.487
U  0.682  0.682  0.513
U  0.699  0.181  0.799
U  0.797  0.797  0.040
U  0.819  0.301  0.201
Ti  0.000  0.000  0.500
Se  0.000  0.000  0.000
Se  0.059  0.675  0.527
Se  0.062  0.062  0.730
Se  0.180  0.566  0.037
Se  0.213  0.213  0.226
Se  0.302  0.302  0.747
Se  0.325  0.941  0.473
Se  0.434  0.820  0.963
Se  0.479  0.479  0.331
Se  0.521  0.521  0.669
Se  0.566  0.180  0.037
Se  0.675  0.059  0.527
Se  0.698  0.698  0.253
Se  0.787  0.787  0.774
Se  0.820  0.434  0.963
Se  0.938  0.938  0.270
Se  0.941  0.325  0.473

# 7
Starting from a DFT-relaxed cell (GGA-PBE, Alexandria), the X-ray diffraction stick pattern of TiVSe4 was calculated for a wavelength of 1.5418 Å.

Most intense lines, 2θ from 5° to 70°, by intensity:
32.88 deg, I 100
13.35 deg, I 42
32.72 deg, I 35
40.70 deg, I 33
51.32 deg, I 24
52.97 deg, I 23
26.89 deg, I 21
51.52 deg, I 14
63.78 deg, I 14
40.45 deg, I 14

Atomic structure:
Cell lengths 7.463, 7.463, 5.993 Å; angles 113.33, 113.33, 26.73 degrees
Fractional coordinates of all 6 atoms:
Ti  0.000  0.000  0.000
V  0.500  0.500  0.500
Se  0.117  0.117  0.454
Se  0.381  0.381  0.052
Se  0.619  0.619  0.948
Se  0.883  0.883  0.546

# 8
Starting from a DFT-relaxed cell (GGA-PBE, Alexandria), the X-ray diffraction stick pattern of TiWSe3 was calculated for a wavelength of 1.5418 Å.

Most intense lines, 2θ from 5° to 70°, by intensity:
31.72 deg, I 100
36.79 deg, I 79
53.01 deg, I 55
63.10 deg, I 42
25.78 deg, I 40
66.26 deg, I 18
45.47 deg, I 18
59.86 deg, I 8
18.15 deg, I 5
41.32 deg, I 3

Atomic structure:
Cell lengths 4.886, 4.886, 4.886 Å; angles 90.00, 90.00, 90.00 degrees
Fractional coordinates of all 5 atoms:
Ti  0.000  0.000  0.000
W  0.500  0.500  0.500
Se  0.000  0.000  0.500
Se  0.000  0.500  0.000
Se  0.500  0.000  0.000

# 9
Starting from a DFT-relaxed cell (GGA-PBE, Alexandria), the X-ray diffraction stick pattern of YTi2Se was calculated for a wavelength of 1.5418 Å.

Most intense lines, 2θ from 5° to 70°, by intensity:
35.90 deg, I 100
31.92 deg, I 96
48.79 deg, I 69
22.42 deg, I 40
45.77 deg, I 28
69.12 deg, I 22
51.54 deg, I 22
29.84 deg, I 20
59.49 deg, I 20
44.26 deg, I 8

Atomic structure:
Cell lengths 6.265, 6.265, 6.265 Å; angles 101.47, 101.47, 127.02 degrees
Fractional coordinates of all 8 atoms:
Y  0.000  0.000  0.000
Y  0.750  0.250  0.500
Ti  0.198  0.625  0.073
Ti  0.375  0.448  0.573
Ti  0.552  0.125  0.927
Ti  0.875  0.802  0.427
Se  0.250  0.750  0.500
Se  0.500  0.500  0.000

# 10
Starting from a DFT-relaxed cell (GGA-PBE, Alexandria), the X-ray diffraction stick pattern of Y2TiSe4 was calculated for a wavelength of 1.5418 Å.

Most intense lines, 2θ from 5° to 70°, by intensity:
29.25 deg, I 100
28.93 deg, I 53
44.16 deg, I 50
38.92 deg, I 47
38.55 deg, I 42
45.58 deg, I 26
37.81 deg, I 24
14.17 deg, I 19
54.89 deg, I 17
51.33 deg, I 13

Atomic structure:
Cell lengths 7.418, 7.418, 7.180 Å; angles 117.88, 117.88, 31.13 degrees
Fractional coordinates of all 7 atoms:
Y  0.232  0.232  0.219
Y  0.768  0.768  0.781
Ti  0.500  0.500  0.500
Se  0.125  0.125  0.478
Se  0.389  0.389  0.079
Se  0.611  0.611  0.921
Se  0.875  0.875  0.522

# 11
Starting from a DFT-relaxed cell (GGA-PBE, Alexandria), the X-ray diffraction stick pattern of Tl5Se4 was calculated for a wavelength of 1.5418 Å.

Most intense lines, 2θ from 5° to 70°, by intensity:
26.51 deg, I 100
32.30 deg, I 47
33.60 deg, I 46
10.09 deg, I 42
22.68 deg, I 29
42.26 deg, I 26
54.60 deg, I 21
49.66 deg, I 18
36.68 deg, I 16
42.78 deg, I 15

Atomic structure:
Cell lengths 9.017, 9.017, 9.017 Å; angles 93.15, 93.15, 152.88 degrees
Fractional coordinates of all 9 atoms:
Tl  0.000  0.000  0.000
Tl  0.252  0.607  0.859
Tl  0.393  0.252  0.644
Tl  0.607  0.748  0.356
Tl  0.748  0.393  0.141
Se  0.085  0.789  0.874
Se  0.211  0.085  0.295
Se  0.789  0.915  0.705
Se  0.915  0.211  0.126

Question: Which formula does entry 3 have?
Answer: TiTl4Se4